(1)
This entry pairs a crystal structure of Ca2Ag7 with its computed powder diffraction line list. Radiation: λ = 1.5418 Å (Cu Kα). Structure: a DFT-relaxed cell (PBE, the Materials Project).
Intensities are scaled so that the largest is 100.

Structural model:
```
data_Ca2Ag7
_cell_length_a 9.6387
_cell_length_b 5.5771
_cell_length_c 14.2604
_cell_angle_alpha 90.00
_cell_angle_beta 90.00
_cell_angle_gamma 90.00
_symmetry_space_group_name_H-M 'C m c m'
_symmetry_Int_Tables_number 63
_symmetry_space_group_name_Hall '-C 2c 2'
loop_
_atom_site_label
_atom_site_fract_x
_atom_site_fract_y
_atom_site_fract_z
_atom_site_occupancy
Ca1 0.0000 0.1789 0.1148 1
Ag1 0.0000 0.3286 0.7500 1
Ag2 0.1650 0.3286 0.5765 1
Ag3 0.2489 0.0782 0.7500 1
```

Largest 10 diffraction maxima, sorted by position, 2θ from 5° to 70°:
- 2θ 18.40, rel. 30.4, hkl 2 0 0
- 2θ 19.41, rel. 24.0, hkl 1 1 1
- 2θ 34.57, rel. 16.0, hkl 0 2 2
- 2θ 36.60, rel. 17.6, hkl 1 1 5
- 2θ 37.42, rel. 100.0, hkl 3 1 3
- 2θ 37.84, rel. 48.3, hkl 0 0 6
- 2θ 39.45, rel. 33.1, hkl 4 0 2
- 2θ 41.98, rel. 26.9, hkl 2 2 3
- 2θ 45.41, rel. 11.5, hkl 4 0 4
- 2θ 65.07, rel. 11.5, hkl 4 0 8

***

(2)
This entry pairs a crystal structure of Ca3Ag8 with its computed powder diffraction line list. Radiation: λ = 1.5418 Å (Cu Kα). Structure: a DFT-relaxed cell (PBE, the Materials Project).
Intensities are scaled so that the largest is 100.

Structural model:
```
data_Ca3Ag8
_cell_length_a 10.0374
_cell_length_b 10.0374
_cell_length_c 10.0374
_cell_angle_alpha 90.00
_cell_angle_beta 90.00
_cell_angle_gamma 90.00
_symmetry_space_group_name_H-M 'I m -3 m'
_symmetry_Int_Tables_number 229
_symmetry_space_group_name_Hall '-I 4 2 3'
loop_
_atom_site_label
_atom_site_fract_x
_atom_site_fract_y
_atom_site_fract_z
_atom_site_occupancy
Ca1 0.0000 0.0000 0.2776 1
Ag1 0.0000 0.3434 0.3434 1
Ag2 0.2500 0.2500 0.2500 1
```

Largest 10 diffraction maxima, sorted by position, 2θ from 5° to 70°:
- 2θ 12.47, rel. 49.6, hkl 1 1 0
- 2θ 21.69, rel. 15.0, hkl 2 1 1
- 2θ 30.86, rel. 10.3, hkl 2 2 2
- 2θ 33.40, rel. 28.8, hkl 3 2 1
- 2θ 38.03, rel. 100.0, hkl 3 3 0
- 2θ 40.18, rel. 34.7, hkl 4 2 0
- 2θ 44.21, rel. 20.9, hkl 4 2 2
- 2θ 46.11, rel. 10.2, hkl 4 3 1
- 2θ 61.26, rel. 13.5, hkl 6 2 2
- 2θ 68.72, rel. 24.1, hkl 6 3 3

***

(3)
This entry pairs a crystal structure of CaAg with its computed powder diffraction line list. Radiation: λ = 1.5418 Å (Cu Kα). Structure: a DFT-relaxed cell (PBE, the Materials Project).
Intensities are scaled so that the largest is 100.

Structural model:
```
data_CaAg
_cell_length_a 4.1077
_cell_length_b 11.3619
_cell_length_c 4.7119
_cell_angle_alpha 90.00
_cell_angle_beta 90.00
_cell_angle_gamma 90.00
_symmetry_space_group_name_H-M 'C m c m'
_symmetry_Int_Tables_number 63
_symmetry_space_group_name_Hall '-C 2c 2'
loop_
_atom_site_label
_atom_site_fract_x
_atom_site_fract_y
_atom_site_fract_z
_atom_site_occupancy
Ca1 0.0000 0.1412 0.2500 1
Ag1 0.0000 0.4250 0.2500 1
```

Largest 10 diffraction maxima, sorted by position, 2θ from 5° to 70°:
- 2θ 15.60, rel. 42.5, hkl 0 2 0
- 2θ 23.02, rel. 56.0, hkl 1 1 0
- 2θ 24.55, rel. 21.4, hkl 0 2 1
- 2θ 29.91, rel. 77.4, hkl 1 1 1
- 2θ 36.95, rel. 46.9, hkl 0 4 1
- 2θ 37.52, rel. 100.0, hkl 1 3 1
- 2θ 38.20, rel. 33.3, hkl 0 0 2
- 2θ 44.09, rel. 21.7, hkl 2 0 0
- 2θ 45.07, rel. 18.8, hkl 1 1 2
- 2θ 58.85, rel. 22.4, hkl 2 4 1

***

(4)
This entry pairs a crystal structure of CaCeAg2 with its computed powder diffraction line list. Radiation: λ = 1.5418 Å (Cu Kα). Structure: a DFT-relaxed cell (PBE, the Materials Project).
Intensities are scaled so that the largest is 100.

Structural model:
```
data_CaCeAg2
_cell_length_a 7.4849
_cell_length_b 7.4849
_cell_length_c 7.4849
_cell_angle_alpha 90.00
_cell_angle_beta 90.00
_cell_angle_gamma 90.00
_symmetry_space_group_name_H-M 'F m -3 m'
_symmetry_Int_Tables_number 225
_symmetry_space_group_name_Hall '-F 4 2 3'
loop_
_atom_site_label
_atom_site_fract_x
_atom_site_fract_y
_atom_site_fract_z
_atom_site_occupancy
Ca1 0.0000 0.0000 0.0000 1
Ce1 0.0000 0.0000 0.5000 1
Ag1 0.2500 0.2500 0.2500 1
```

Largest 8 diffraction maxima, sorted by position, 2θ from 5° to 70°:
- 2θ 20.55, rel. 12.9, hkl 1 1 1
- 2θ 23.78, rel. 1.4, hkl 2 0 0
- 2θ 33.87, rel. 100.0, hkl 2 2 0
- 2θ 39.95, rel. 7.3, hkl 3 1 1
- 2θ 48.66, rel. 17.4, hkl 4 0 0
- 2θ 53.35, rel. 3.3, hkl 3 3 1
- 2θ 60.61, rel. 35.1, hkl 4 2 2
- 2θ 64.71, rel. 2.5, hkl 5 1 1

***

(5)
This entry pairs a crystal structure of Ca2CuAg with its computed powder diffraction line list. Radiation: λ = 1.5418 Å (Cu Kα). Structure: a DFT-relaxed cell (PBE, the Materials Project).
Intensities are scaled so that the largest is 100.

Structural model:
```
data_Ca2CuAg
_cell_length_a 4.5353
_cell_length_b 4.1024
_cell_length_c 11.1795
_cell_angle_alpha 90.00
_cell_angle_beta 90.00
_cell_angle_gamma 90.00
_symmetry_space_group_name_H-M 'A m m 2'
_symmetry_Int_Tables_number 38
_symmetry_space_group_name_Hall 'A 2 -2'
loop_
_atom_site_label
_atom_site_fract_x
_atom_site_fract_y
_atom_site_fract_z
_atom_site_occupancy
Ca1 0.0000 0.0000 0.0000 1
Ca2 0.5000 0.0000 0.2831 1
Cu1 0.5000 0.0000 0.5726 1
Ag1 0.0000 0.0000 0.7096 1
```

Largest 10 diffraction maxima, sorted by position, 2θ from 5° to 70°:
- 2θ 15.85, rel. 54.8, hkl 0 0 2
- 2θ 23.09, rel. 51.7, hkl 0 1 1
- 2θ 30.45, rel. 89.0, hkl 1 1 1
- 2θ 32.46, rel. 30.3, hkl 0 1 3
- 2θ 37.81, rel. 51.7, hkl 1 0 4
- 2θ 38.19, rel. 100.0, hkl 1 1 3
- 2θ 39.75, rel. 34.4, hkl 2 0 0
- 2θ 44.15, rel. 25.1, hkl 0 2 0
- 2θ 59.50, rel. 25.3, hkl 1 2 4
- 2θ 60.90, rel. 17.9, hkl 2 2 0

***

(6)
This entry pairs a crystal structure of Ca2La3Cu4AgO12 with its computed powder diffraction line list. Radiation: λ = 1.5418 Å (Cu Kα). Structure: a DFT-relaxed cell (PBE, the Materials Project).
Intensities are scaled so that the largest is 100.

Structural model:
```
data_Ca2La3Cu4AgO12
_cell_length_a 5.3837
_cell_length_b 5.3824
_cell_length_c 19.5312
_cell_angle_alpha 90.00
_cell_angle_beta 90.00
_cell_angle_gamma 90.00
_symmetry_space_group_name_H-M 'A m m 2'
_symmetry_Int_Tables_number 38
_symmetry_space_group_name_Hall 'A 2 -2'
loop_
_atom_site_label
_atom_site_fract_x
_atom_site_fract_y
_atom_site_fract_z
_atom_site_occupancy
Ca1 0.0000 0.0000 0.0000 1
Ca2 0.5000 0.0000 0.4900 1
La1 0.0000 0.0000 0.8136 1
La2 0.5000 0.0000 0.3117 1
La3 0.5000 0.0000 0.6660 1
Cu1 0.0000 0.0000 0.4060 1
Cu2 0.0000 0.0000 0.5831 1
Cu3 0.5000 0.0000 0.0823 1
Cu4 0.5000 0.0000 0.9085 1
Ag1 0.0000 0.0000 0.1806 1
O1 0.0000 0.0000 0.2963 1
O2 0.0000 0.0000 0.6950 1
O3 0.2506 0.2490 0.9066 1
O4 0.2571 0.2428 0.5695 1
O5 0.5000 0.0000 0.1946 1
O6 0.5000 0.0000 0.7858 1
```

Largest 10 diffraction maxima, sorted by position, 2θ from 5° to 70°:
- 2θ 27.14, rel. 39.6, hkl 1 1 3
- 2θ 32.85, rel. 100.0, hkl 1 1 5
- 2θ 33.29, rel. 67.5, hkl 2 0 0
- 2θ 36.81, rel. 13.5, hkl 0 0 8
- 2θ 40.07, rel. 11.7, hkl 1 1 7
- 2θ 43.64, rel. 15.1, hkl 2 0 6
- 2θ 47.79, rel. 40.3, hkl 2 2 0
- 2θ 50.47, rel. 12.5, hkl 2 0 8
- 2θ 55.82, rel. 11.7, hkl 3 1 3
- 2θ 59.21, rel. 36.0, hkl 3 1 5